No. 1
This entry pairs a crystal structure of Ni2WCl2 with its calculated X-ray powder pattern. Radiation: CuKα. Structure: a PBE-relaxed structure.
Lines closer than 0.1° are merged.

Peak list (8 most intense, 10 to 90 degrees two-theta, by intensity)
17.35°, I 100, hkl 1 1 0; 43.63°, I 41, hkl 1 3 1; 34.88°, I 29, hkl 0 2 1; 35.12°, I 24, hkl 2 2 0; 55.67°, I 21, hkl 3 1 1; 38.03°, I 19, hkl 1 2 1; 34.31°, I 17, hkl 1 1 1; 31.10°, I 15, hkl 2 1 0

Crystal structure
a b c (Å): 6.025 9.647 3.041
angles (deg): 90.00 90.00 90.00
Space group Pbam (No. 55)
One atom of each set of equivalent atoms:
Ni1 0.164 0.169 0.000 x4
W1 0.000 0.000 0.500 x2
Cl1 0.171 0.363 0.500 x4

---

No. 2
This entry pairs a crystal structure of Np2Cl13 with its calculated X-ray powder pattern. Radiation: CuKα. Structure: a PBE-relaxed structure.
Lines closer than 0.1° are merged.

Peak list (8 most intense, 10 to 90 degrees two-theta, by intensity)
17.27°, I 100, hkl 1 0 -1; 15.45°, I 92, hkl 1 1 1; 11.72°, I 60, hkl 0 1 0; 19.31°, I 44, hkl 0 0 2; 27.98°, I 42, hkl 2 0 1; 12.80°, I 42, hkl 0 1 1; 33.50°, I 36, hkl 1 3 2; 20.12°, I 36, hkl 1 -1 0

Crystal structure
a b c (Å): 6.934 8.293 9.783
angles (deg): 70.67 79.47 72.21
Space group P1 (No. 1)
One atom of each set of equivalent atoms:
Np1 0.000 0.000 0.000 x1
Np2 0.309 0.257 0.460 x1
Cl1 0.023 0.263 0.053 x1
Cl2 0.156 0.131 0.731 x1
Cl3 0.285 0.994 0.409 x1
Cl4 0.324 0.515 0.524 x1
Cl5 0.350 0.846 0.067 x1
Cl6 0.451 0.375 0.210 x1
Cl7 0.569 0.670 0.813 x1
Cl8 0.650 0.098 0.539 x1
Cl9 0.660 0.159 0.920 x1
Cl10 0.740 0.587 0.647 x1
Cl11 0.857 0.880 0.250 x1
Cl12 0.959 0.411 0.393 x1
Cl13 0.987 0.743 0.933 x1

---

No. 3
This entry pairs a crystal structure of PrNpCl6 with its calculated X-ray powder pattern. Radiation: CuKα. Structure: a PBE-relaxed structure.
Lines closer than 0.1° are merged.

Peak list (8 most intense, 10 to 90 degrees two-theta, by intensity)
13.72°, I 100, hkl 1 0 0; 34.79°, I 77, hkl 2 0 1; 24.93°, I 74, hkl 1 0 1; 42.63°, I 68, hkl 2 1 1; 23.87°, I 48, hkl 1 1 0; 41.98°, I 29, hkl 3 0 0; 66.83°, I 23, hkl 2 3 1; 61.01°, I 19, hkl 3 0 2

Crystal structure
a b c (Å): 7.4547 7.4547 4.2879
angles (deg): 90.00 90.00 120.00
Space group P-6 (No. 174)
One atom of each set of equivalent atoms:
Pr1 0.0000 0.0000 0.0000 x1
Np1 0.6667 0.3333 0.5000 x1
Cl1 0.0288 0.7501 0.5000 x3
Cl2 0.4217 0.0578 0.0000 x3

---

No. 4
This entry pairs a crystal structure of Pr4PClO8 with its calculated X-ray powder pattern. Radiation: CuKα. Structure: a PBE-relaxed structure.
Lines closer than 0.1° are merged.

Peak list (8 most intense, 10 to 90 degrees two-theta, by intensity)
29.83°, I 100, hkl 3 1 1; 22.58°, I 25, hkl 1 1 1; 30.47°, I 21, hkl 0 2 0; 30.76°, I 21, hkl 0 0 2; 13.57°, I 20, hkl 2 0 0; 43.84°, I 20, hkl 0 2 2; 53.75°, I 18, hkl 3 3 1; 54.11°, I 18, hkl 3 1 3

Crystal structure
a b c (Å): 13.047 5.868 5.814
angles (deg): 90.00 90.00 90.00
Space group Pmn2_1 (No. 31)
One atom of each set of equivalent atoms:
Pr1 0.161 0.018 0.000 x4
Pr2 0.167 0.488 0.530 x4
P1 0.000 0.540 0.057 x2
Cl1 0.000 0.050 0.564 x2
O1 0.000 0.499 0.322 x2
O2 0.000 0.802 0.016 x2
O3 0.096 0.432 0.946 x4
O4 0.231 0.757 0.262 x4
O5 0.250 0.242 0.269 x4